Entry 1:
Starting from the GGA-PBE geometry in Alexandria, the powder diffractogram of LaNdYEr was simulated for Cu Kα (λ = 1.5418 Å).
Lines closer than 0.1° are merged.

Largest 10 diffraction maxima, in order of falling intensity, 10 to 80 degrees two-theta:
32.2°, I 100
30.3°, I 31
29.4°, I 29
59.8°, I 27
50.2°, I 23
55.1°, I 21
60.9°, I 16
36.6°, I 16
28.3°, I 15
42.0°, I 11

Crystal structure
Lattice parameters (Å, degrees): 3.6354 3.6354 11.7933 90.00 90.00 120.00
Space group P3m1 (No. 156)
Asymmetric unit:
La (0.0000, 0.0000, 0.0000) [1 per cell]
Nd (0.6667, 0.3333, 0.7379) [1 per cell]
Y (0.3333, 0.6667, 0.4910) [1 per cell]
Er (0.6667, 0.3333, 0.2522) [1 per cell]

=====

Entry 2:
Starting from the GGA-PBE geometry in Alexandria, the powder diffractogram of YNpCu2O8 was simulated for Cu Kα (λ = 1.5418 Å).
Lines closer than 0.1° are merged.

Largest 10 diffraction maxima, in order of falling intensity, 10 to 80 degrees two-theta:
26.2°, I 100
32.3°, I 100
50.3°, I 81
18.5°, I 76
61.0°, I 33
37.5°, I 29
42.1°, I 29
54.0°, I 22
64.3°, I 21
76.9°, I 17

Crystal structure
Lattice parameters (Å, degrees): 6.7913 6.7913 6.7944 90.00 90.00 90.00
Space group I-4m2 (No. 119)
Asymmetric unit:
Y (0.0000, 0.0000, 0.0000) [2 per cell]
Np (0.0000, 0.5000, 0.2500) [2 per cell]
Cu (0.0000, 0.0000, 0.5000) [2 per cell]
Cu (0.0000, 0.5000, 0.7500) [2 per cell]
O (0.0000, 0.2025, 0.3007) [8 per cell]
O (0.0000, 0.3279, 0.9555) [8 per cell]